Structure and computed X-ray powder pattern of Pm2Pr3Nd7 (a DFT-relaxed cell (GGA-PBE, Alexandria); λ = 1.5418 Å (Cu Kα)).

Crystal structure
Lattice parameters (Å, degrees): 6.0314 3.6637 19.4276 90.00 93.05 90.00
Space group P2/m (No. 10)
One atom of each set of equivalent atoms:
Pm (0.2085, 0.0000, 0.2950) x2
Pr (0.0000, 0.0000, 0.0000) x1
Pr (0.2820, 0.5000, 0.6333) x2
Nd (0.1846, 0.5000, 0.1446) x2
Nd (0.2431, 0.0000, 0.4638) x2
Nd (0.3134, 0.0000, 0.8222) x2
Nd (0.5000, 0.5000, 0.0000) x1

Peak list (10 most intense, 2θ = 10–80°, by angle)
2θ/deg  d/Å  Rel. int.  (hkl)
27.59  3.233  30  0 0 6
29.71  3.007  52  2 0 0
29.78  3.000  40  2 0 -1
30.25  2.955  100  1 1 2
30.63  2.919  77  1 0 -6
31.41  2.848  25  1 1 -3
32.11  2.787  46  1 0 6
33.65  2.664  35  1 1 -4
49.78  1.832  21  0 2 0
52.39  1.746  37  3 1 1